No. 1
Na2Mg4Tl3: calculated XRD peak list (a wavelength of 1.5418 Å), based on a DFT-relaxed cell (GGA-PBE, Alexandria).
Peak positions follow from Bragg's law for the DFT cell and can differ from measured ones.

```
data_Na2Mg4Tl3
_chemical_formula_sum 'Na2 Mg4 Tl3'
_cell_length_a 4.7535
_cell_length_b 5.7017
_cell_length_c 9.7314
_cell_angle_alpha 75.00
_cell_angle_beta 89.99
_cell_angle_gamma 65.37
_space_group_name_H-M_alt 'P -1'
_space_group_IT_number 2
_space_group_name_Hall '-P 1'
loop_
_atom_site_label
_atom_site_type_symbol
_atom_site_fract_x
_atom_site_fract_y
_atom_site_fract_z
Na1 Na 0.1727 0.1554 0.2308
Mg1 Mg 0.1608 0.1783 0.8943
Mg2 Mg 0.4884 0.5223 0.6589
Tl1 Tl 0.1599 0.1793 0.5762
Tl2 Tl 0.5000 0.5000 0.0000
```

Most intense lines, 2θ = 10–90°, in order of rising 2θ:
d (Å), I_rel, hkl
4.665, 41, 0 0 2
4.092, 100, 1 0 -1
4.019, 26, 0 1 2
3.944, 41, 0 1 -1
2.718, 87, 1 2 0
2.679, 77, 1 1 3
2.377, 32, 2 1 0
2.352, 28, 0 1 -3
2.284, 23, 0 2 3
1.671, 31, 2 0 3

---

No. 2
NaMg7Tl12: calculated XRD peak list (a wavelength of 1.5418 Å), based on a DFT-relaxed cell (GGA-PBE, Alexandria).
Peak positions follow from Bragg's law for the DFT cell and can differ from measured ones.

```
data_NaMg7Tl12
_chemical_formula_sum 'Na2 Mg14 Tl24'
_cell_length_a 10.9621
_cell_length_b 10.9621
_cell_length_c 10.9621
_cell_angle_alpha 90.00
_cell_angle_beta 90.00
_cell_angle_gamma 90.00
_space_group_name_H-M_alt 'I m -3'
_space_group_IT_number 204
_space_group_name_Hall '-I 2 2 3'
loop_
_atom_site_label
_atom_site_type_symbol
_atom_site_fract_x
_atom_site_fract_y
_atom_site_fract_z
Na1 Na 0.0000 0.0000 0.0000
Mg1 Mg 0.0000 0.0000 0.5000
Mg2 Mg 0.2500 0.2500 0.2500
Tl1 Tl 0.0000 0.2344 0.3432
```

Most intense lines, 2θ = 10–90°, in order of rising 2θ:
d (Å), I_rel, hkl
7.751, 73, 1 1 0
4.475, 33, 2 1 1
3.876, 30, 2 2 0
3.467, 93, 3 1 0
3.164, 31, 2 2 2
2.930, 73, 3 1 2
2.451, 100, 4 2 0
2.337, 40, 3 3 2
1.880, 30, 5 0 3
1.465, 34, 6 2 4

---

No. 3
Na3Mg2Tl8: calculated XRD peak list (a wavelength of 1.5418 Å), based on a DFT-relaxed cell (GGA-PBE, Alexandria).
Peak positions follow from Bragg's law for the DFT cell and can differ from measured ones.

```
data_Na3Mg2Tl8
_chemical_formula_sum 'Na3 Mg2 Tl8'
_cell_length_a 8.0477
_cell_length_b 5.0332
_cell_length_c 9.5646
_cell_angle_alpha 90.00
_cell_angle_beta 106.07
_cell_angle_gamma 90.00
_space_group_name_H-M_alt 'P 1 2/m 1'
_space_group_IT_number 10
_space_group_name_Hall '-P 2y'
loop_
_atom_site_label
_atom_site_type_symbol
_atom_site_fract_x
_atom_site_fract_y
_atom_site_fract_z
Na1 Na 0.0000 0.0000 0.0000
Na2 Na 0.2754 0.5000 0.9243
Mg1 Mg 0.2981 0.0000 0.4229
Tl1 Tl 0.1044 0.0000 0.6760
Tl2 Tl 0.1483 0.5000 0.2397
Tl3 Tl 0.3859 0.5000 0.6202
Tl4 Tl 0.4515 0.0000 0.1580
```

Most intense lines, 2θ = 10–90°, in order of rising 2θ:
d (Å), I_rel, hkl
4.596, 33, 0 0 2
4.074, 60, 1 1 -1
3.543, 24, 1 0 2
3.122, 47, 2 1 -1
2.734, 86, 2 1 1
2.679, 100, 1 1 -3
2.573, 47, 3 0 -2
2.517, 46, 0 2 0
2.052, 23, 1 0 4
1.799, 33, 3 2 -2

---

No. 4
NaMg6Tl6: calculated XRD peak list (a wavelength of 1.5418 Å), based on a DFT-relaxed cell (GGA-PBE, Alexandria).
Peak positions follow from Bragg's law for the DFT cell and can differ from measured ones.

```
data_NaMg6Tl6
_chemical_formula_sum 'Na1 Mg6 Tl6'
_cell_length_a 6.2383
_cell_length_b 6.2383
_cell_length_c 9.9788
_cell_angle_alpha 90.00
_cell_angle_beta 90.00
_cell_angle_gamma 120.00
_space_group_name_H-M_alt 'P 6/m m m'
_space_group_IT_number 191
_space_group_name_Hall '-P 6 2'
loop_
_atom_site_label
_atom_site_type_symbol
_atom_site_fract_x
_atom_site_fract_y
_atom_site_fract_z
Na1 Na 0.0000 0.0000 0.0000
Mg1 Mg 0.0000 0.5000 0.2467
Tl1 Tl 0.0000 0.0000 0.3376
Tl2 Tl 0.3333 0.6667 0.0000
Tl3 Tl 0.3333 0.6667 0.5000
```

Most intense lines, 2θ = 10–90°, in order of rising 2θ:
d (Å), I_rel, hkl
3.665, 55, 1 0 2
3.119, 100, 1 1 0
2.832, 21, 1 0 3
2.645, 46, 1 1 2
2.375, 35, 2 0 2
2.265, 27, 1 0 4
1.890, 18, 2 1 2
1.801, 21, 3 0 0
1.560, 18, 2 2 0
1.468, 25, 1 1 6

---

What did the second record say?
NaMg7Tl12: calculated XRD peak list (a wavelength of 1.5418 Å), based on a DFT-relaxed cell (GGA-PBE, Alexandria).
Peak positions follow from Bragg's law for the DFT cell and can differ from measured ones.

```
data_NaMg7Tl12
_chemical_formula_sum 'Na2 Mg14 Tl24'
_cell_length_a 10.9621
_cell_length_b 10.9621
_cell_length_c 10.9621
_cell_angle_alpha 90.00
_cell_angle_beta 90.00
_cell_angle_gamma 90.00
_space_group_name_H-M_alt 'I m -3'
_space_group_IT_number 204
_space_group_name_Hall '-I 2 2 3'
loop_
_atom_site_label
_atom_site_type_symbol
_atom_site_fract_x
_atom_site_fract_y
_atom_site_fract_z
Na1 Na 0.0000 0.0000 0.0000
Mg1 Mg 0.0000 0.0000 0.5000
Mg2 Mg 0.2500 0.2500 0.2500
Tl1 Tl 0.0000 0.2344 0.3432
```

Most intense lines, 2θ = 10–90°, in order of rising 2θ:
d (Å), I_rel, hkl
7.751, 73, 1 1 0
4.475, 33, 2 1 1
3.876, 30, 2 2 0
3.467, 93, 3 1 0
3.164, 31, 2 2 2
2.930, 73, 3 1 2
2.451, 100, 4 2 0
2.337, 40, 3 3 2
1.880, 30, 5 0 3
1.465, 34, 6 2 4